# 1
# BaLiV2Ni3H2O10
Simulated X-ray diffraction stick pattern, Cu Kα, 1.54184 Å. Input: a cell relaxed with GGA+U.
Kinematic intensities with the Lorentz-polarization factor, no thermal factor.

Peak list (10 most intense, 10° ≤ 2θ ≤ 80°, in order of falling intensity)
(2 0 1), 26.67 deg, I 1000
(2 2 -2), 38.72 deg, I 535
(3 1 0), 32.60 deg, I 293
(0 2 1), 32.77 deg, I 287
(3 1 -2), 32.41 deg, I 280
(3 1 -1), 30.07 deg, I 267
(2 2 -4), 54.88 deg, I 230
(0 0 2), 24.24 deg, I 220
(1 1 2), 33.50 deg, I 218
(6 2 -2), 62.52 deg, I 216

Cell and atoms:
Unit cell a=10.3253 b=5.8894 c=8.1396 alpha=90.00 beta=115.56 gamma=90.00
Space group C2/m (No. 12)
Symmetry-distinct sites (fractional):
Ba  0.0000  0.0000  0.0000 [2 per cell]
Li  0.0000  0.5000  0.5000 [2 per cell]
V  0.1001  0.5000  0.7973 [4 per cell]
Ni  0.0000  0.0000  0.5000 [2 per cell]
Ni  0.2500  0.2500  0.5000 [4 per cell]
H  0.2440  0.5000  0.2404 [4 per cell]
O  0.0175  0.2631  0.3173 [8 per cell]
O  0.1689  0.5000  0.0299 [4 per cell]
O  0.2079  0.0000  0.6225 [4 per cell]
O  0.2201  0.5000  0.6887 [4 per cell]

# 2
# BaLiV2Ni3H2O10
Simulated X-ray diffraction stick pattern, Cu Kα, 1.54184 Å. Input: a cell relaxed with GGA+U.
Kinematic intensities with the Lorentz-polarization factor, no thermal factor.

Peak list (10 most intense, 10° ≤ 2θ ≤ 80°, in order of falling intensity)
(1 1 -2), 26.69 deg, I 1000
(2 2 -2), 38.13 deg, I 585
(1 1 2), 34.48 deg, I 488
(2 0 1), 27.63 deg, I 478
(4 0 -1), 34.70 deg, I 465
(0 2 1), 32.44 deg, I 429
(0 0 1), 12.44 deg, I 411
(1 1 0), 17.66 deg, I 404
(3 1 0), 32.76 deg, I 368
(3 1 -1), 29.63 deg, I 323

Cell and atoms:
Unit cell a=10.4813 b=5.9901 c=8.0897 alpha=90.00 beta=118.45 gamma=90.00
Space group Cm (No. 8)
Symmetry-distinct sites (fractional):
Ba  0.0000  0.0000  0.0000 [2 per cell]
Li  0.1775  0.0000  0.8021 [2 per cell]
V  0.1310  0.5000  0.7412 [2 per cell]
V  0.4522  0.0000  0.2365 [2 per cell]
Ni  0.0342  0.0000  0.4761 [2 per cell]
Ni  0.2941  0.2577  0.4899 [4 per cell]
H  0.2784  0.5000  0.2026 [2 per cell]
H  0.3373  0.0000  0.7557 [2 per cell]
O  0.0264  0.2345  0.6688 [4 per cell]
O  0.0593  0.2554  0.3139 [4 per cell]
O  0.2448  0.5000  0.9840 [2 per cell]
O  0.2624  0.0000  0.6220 [2 per cell]
O  0.2664  0.5000  0.6547 [2 per cell]
O  0.3174  0.0000  0.3059 [2 per cell]
O  0.3206  0.5000  0.3429 [2 per cell]
O  0.3764  0.0000  0.9939 [2 per cell]

# 3
# BaLiV2Ni3H2O10
Simulated X-ray diffraction stick pattern, Cu Kα, 1.54184 Å. Input: a cell relaxed with GGA+U.
Kinematic intensities with the Lorentz-polarization factor, no thermal factor.

Peak list (10 most intense, 10° ≤ 2θ ≤ 80°, in order of falling intensity)
(1 1 -2), 28.72 deg, I 1000
(2 0 2), 35.03 deg, I 738
(2 2 -1), 35.63 deg, I 609
(3 1 1), 36.28 deg, I 524
(1 1 2), 32.80 deg, I 484
(0 0 1), 12.57 deg, I 471
(2 2 -2), 40.62 deg, I 460
(0 2 1), 32.53 deg, I 455
(4 0 -1), 35.10 deg, I 402
(2 0 0), 17.93 deg, I 360

Cell and atoms:
Unit cell a=10.2659 b=5.9812 c=7.3078 alpha=90.00 beta=105.47 gamma=90.00
Space group Cm (No. 8)
Symmetry-distinct sites (fractional):
Ba  0.0000  0.0000  0.0000 [2 per cell]
Li  0.3020  0.0000  0.2120 [2 per cell]
V  0.0782  0.5000  0.2648 [2 per cell]
V  0.1554  0.5000  0.7769 [2 per cell]
Ni  0.1209  0.0000  0.5161 [2 per cell]
Ni  0.3708  0.2480  0.5329 [4 per cell]
H  0.3462  0.0000  0.8148 [2 per cell]
H  0.3522  0.5000  0.2582 [2 per cell]
O  0.0678  0.2421  0.7225 [4 per cell]
O  0.1753  0.2305  0.3258 [4 per cell]
O  0.2357  0.5000  0.0166 [2 per cell]
O  0.2931  0.5000  0.6755 [2 per cell]
O  0.3104  0.0000  0.6744 [2 per cell]
O  0.4216  0.5000  0.3812 [2 per cell]
O  0.4445  0.0000  0.0511 [2 per cell]
O  0.4575  0.0000  0.4143 [2 per cell]

# 4
# BaLiV2Ni3H2O10
Simulated X-ray diffraction stick pattern, Cu Kα, 1.54184 Å. Input: a cell relaxed with GGA+U.
Kinematic intensities with the Lorentz-polarization factor, no thermal factor.

Peak list (10 most intense, 10° ≤ 2θ ≤ 80°, in order of falling intensity)
(0 1 1), 17.94 deg, I 1000
(0 0 2), 25.43 deg, I 740
(2 2 2), 39.03 deg, I 673
(1 1 2), 27.76 deg, I 547
(2 1 -1), 32.80 deg, I 518
(1 0 -2), 28.67 deg, I 493
(2 0 -2), 40.20 deg, I 481
(1 1 0), 17.26 deg, I 425
(1 0 0), 17.05 deg, I 405
(0 1 0), 17.63 deg, I 392

Cell and atoms:
Unit cell a=6.0284 b=6.1292 c=7.4369 alpha=72.02 beta=87.96 gamma=60.58
Space group P1 (No. 1)
Symmetry-distinct sites (fractional):
Ba  0.0000  0.0000  0.0000 [1 per cell]
Li  0.4515  0.0478  0.5385 [1 per cell]
V  0.3591  0.2626  0.1875 [1 per cell]
V  0.3899  0.2186  0.8212 [1 per cell]
Ni  0.4124  0.6191  0.4578 [1 per cell]
Ni  0.9139  0.1213  0.4679 [1 per cell]
Ni  0.9402  0.6158  0.4582 [1 per cell]
H  0.0775  0.6529  0.7545 [1 per cell]
H  0.6924  0.6063  0.1943 [1 per cell]
O  0.1062  0.7284  0.6232 [1 per cell]
O  0.1163  0.3700  0.9695 [1 per cell]
O  0.1460  0.2395  0.6582 [1 per cell]
O  0.2317  0.5222  0.2912 [1 per cell]
O  0.2488  0.0140  0.3401 [1 per cell]
O  0.5218  0.3435  0.9719 [1 per cell]
O  0.5401  0.8941  0.9574 [1 per cell]
O  0.6066  0.2376  0.6442 [1 per cell]
O  0.7009  0.0107  0.3403 [1 per cell]
O  0.7326  0.5153  0.3338 [1 per cell]